(1)
Theoretical X-ray diffraction stick pattern
Compound: Na2Ta4Se7
Radiation: λ = 1.5418 Å (Cu Kα)
Structure: a PBE-relaxed structure
Peak positions follow from Bragg's law for the DFT cell and can differ from measured ones.

Most intense lines, 5 to 70 degrees two-theta, low angle first:
two_theta  d (Å)  I (rel.)  hkl
11.26  7.860  100  0 0 1
19.49  4.554  10  1 0 1
26.03  3.423  11  1 0 2
31.57  2.834  10  1 2 2
35.45  2.532  9  2 1 0
36.01  2.494  13  0 1 3
37.19  2.418  23  1 -2 0
39.13  2.302  9  1 2 -2
40.18  2.245  15  0 3 0
45.14  2.009  9  0 2 -3

Crystal structure
```
data_Na2Ta4Se7
_chemical_formula_sum 'Na2 Ta4 Se7'
_symmetry_space_group_name_H-M 'P -1'
_symmetry_Int_Tables_number 2
_cell_length_a 5.2307
_cell_length_b 7.1804
_cell_length_c 8.1283
_cell_angle_alpha 81.90
_cell_angle_beta 75.67
_cell_angle_gamma 69.98
loop_
_symmetry_equiv_pos_as_xyz
'x,y,z'
'-x,-y,-z'
loop_
_atom_site_label
_atom_site_type_symbol
_atom_site_fract_x
_atom_site_fract_y
_atom_site_fract_z
Na1 Na 0.0857 0.2321 0.0053
Ta1 Ta 0.0700 0.1812 0.4756
Ta2 Ta 0.3995 0.4971 0.3529
Se1 Se 0.1240 0.4479 0.6684
Se2 Se 0.2591 0.8914 0.2441
Se3 Se 0.3566 0.8847 0.6700
Se4 Se 0.5000 0.5000 0.0000
```


(2)
Theoretical X-ray diffraction stick pattern
Compound: NaTb5Se8
Radiation: λ = 1.5418 Å (Cu Kα)
Structure: a PBE-relaxed structure
Peak positions follow from Bragg's law for the DFT cell and can differ from measured ones.

Most intense lines, 5 to 70 degrees two-theta, low angle first:
two_theta  d (Å)  I (rel.)  hkl
12.76  6.936  41  1 1 1
20.92  4.247  12  2 2 0
24.58  3.622  80  3 1 1
29.75  3.003  76  4 0 0
38.96  2.312  49  5 1 1
42.57  2.124  100  4 4 0
52.80  1.734  19  4 4 4
59.07  1.564  19  5 5 3
61.78  1.502  15  8 0 0
67.53  1.387  13  5 5 5

Crystal structure
```
data_NaTb5Se8
_chemical_formula_sum 'Na4 Tb20 Se32'
_symmetry_space_group_name_H-M 'F -4 3 m'
_symmetry_Int_Tables_number 216
_symmetry_space_group_name_Hall 'F -4 2 3'
_cell_length_a 12.0128
_cell_length_b 12.0128
_cell_length_c 12.0128
_cell_angle_alpha 90.00
_cell_angle_beta 90.00
_cell_angle_gamma 90.00
loop_
_atom_site_label
_atom_site_type_symbol
_atom_site_fract_x
_atom_site_fract_y
_atom_site_fract_z
Na1 Na 0.0000 0.0000 0.0000
Tb1 Tb 0.1299 0.1299 0.3701
Tb2 Tb 0.2500 0.2500 0.7500
Se1 Se 0.1169 0.1169 0.6169
Se2 Se 0.1349 0.1349 0.1349
```


(3)
Theoretical X-ray diffraction stick pattern
Compound: NaTbTeSe
Radiation: λ = 1.5418 Å (Cu Kα)
Structure: a PBE-relaxed structure
Peak positions follow from Bragg's law for the DFT cell and can differ from measured ones.

Most intense lines, 5 to 70 degrees two-theta, low angle first:
two_theta  d (Å)  I (rel.)  hkl
11.59  7.633  69  0 0 3
25.37  3.511  73  0 1 2
31.13  2.873  100  0 1 5
36.72  2.447  46  1 0 7
42.45  2.130  48  1 1 0
44.15  2.051  16  1 1 3
46.69  1.946  24  1 0 10
53.57  1.711  21  2 0 5
57.35  1.607  12  0 2 7
65.70  1.421  20  1 1 12

Crystal structure
```
data_NaTbTeSe
_chemical_formula_sum 'Na3 Tb3 Te3 Se3'
_symmetry_space_group_name_H-M 'R 3 m'
_symmetry_Int_Tables_number 160
_symmetry_space_group_name_Hall 'R 3 -2"'
_cell_length_a 4.2590
_cell_length_b 4.2590
_cell_length_c 22.9002
_cell_angle_alpha 90.00
_cell_angle_beta 90.00
_cell_angle_gamma 120.00
loop_
_atom_site_label
_atom_site_type_symbol
_atom_site_fract_x
_atom_site_fract_y
_atom_site_fract_z
Na1 Na 0.0000 0.0000 0.0000
Tb1 Tb 0.0000 0.0000 0.1609
Te1 Te 0.0000 0.0000 0.5759
Se1 Se 0.0000 0.0000 0.7593
```


(4)
Theoretical X-ray diffraction stick pattern
Compound: NaTc2Se2
Radiation: λ = 1.5418 Å (Cu Kα)
Structure: a PBE-relaxed structure
Peak positions follow from Bragg's law for the DFT cell and can differ from measured ones.

Most intense lines, 5 to 70 degrees two-theta, low angle first:
two_theta  d (Å)  I (rel.)  hkl
14.05  6.305  100  0 0 2
23.09  3.852  20  1 0 1
30.67  2.915  38  1 0 3
34.43  2.605  46  1 1 2
42.68  2.118  66  1 1 4
44.81  2.023  39  2 0 0
47.19  1.926  18  2 0 2
54.15  1.694  25  1 1 6
55.28  1.662  14  2 1 3
65.23  1.430  12  2 2 0

Crystal structure
```
data_NaTc2Se2
_chemical_formula_sum 'Na2 Tc4 Se4'
_symmetry_space_group_name_H-M 'I 4/m m m'
_symmetry_Int_Tables_number 139
_symmetry_space_group_name_Hall '-I 4 2'
_cell_length_a 4.0455
_cell_length_b 4.0455
_cell_length_c 12.6097
_cell_angle_alpha 90.00
_cell_angle_beta 90.00
_cell_angle_gamma 90.00
loop_
_atom_site_label
_atom_site_type_symbol
_atom_site_fract_x
_atom_site_fract_y
_atom_site_fract_z
Na1 Na 0.0000 0.0000 0.0000
Tc1 Tc 0.0000 0.5000 0.2500
Se1 Se 0.0000 0.0000 0.3639
```


(5)
Theoretical X-ray diffraction stick pattern
Compound: Na3TeSe
Radiation: λ = 1.5418 Å (Cu Kα)
Structure: a PBE-relaxed structure
Peak positions follow from Bragg's law for the DFT cell and can differ from measured ones.

Most intense lines, 5 to 70 degrees two-theta, low angle first:
two_theta  d (Å)  I (rel.)  hkl
21.19  4.192  100  1 1 0
28.61  3.120  62  1 0 4
35.88  2.503  47  0 2 4
37.15  2.420  57  3 0 0
42.04  2.149  48  2 1 4
43.16  2.096  17  2 2 0
52.60  1.740  19  1 3 4
58.22  1.585  14  4 1 0
61.83  1.501  21  3 2 4
63.64  1.462  14  1 2 8

Crystal structure
```
data_Na3TeSe
_chemical_formula_sum 'Na18 Te6 Se6'
_symmetry_space_group_name_H-M 'R 3 c'
_symmetry_Int_Tables_number 161
_symmetry_space_group_name_Hall 'R 3 -2"c'
_cell_length_a 8.3846
_cell_length_b 8.3846
_cell_length_c 13.8226
_cell_angle_alpha 90.00
_cell_angle_beta 90.00
_cell_angle_gamma 120.00
loop_
_atom_site_label
_atom_site_type_symbol
_atom_site_fract_x
_atom_site_fract_y
_atom_site_fract_z
Na1 Na 0.0013 0.3744 0.0000
Te1 Te 0.0000 0.0000 0.4989
Se1 Se 0.0000 0.0000 0.2484
```


(6)
Theoretical X-ray diffraction stick pattern
Compound: NaTeSe
Radiation: λ = 1.5418 Å (Cu Kα)
Structure: a PBE-relaxed structure
Peak positions follow from Bragg's law for the DFT cell and can differ from measured ones.

Most intense lines, 5 to 70 degrees two-theta, low angle first:
two_theta  d (Å)  I (rel.)  hkl
9.33  9.480  100  0 0 2
18.72  4.740  36  0 0 4
20.66  4.299  30  0 1 3
28.24  3.160  97  0 0 6
29.96  2.983  74  1 0 1
31.94  2.802  90  0 2 2
36.01  2.494  52  0 2 4
38.09  2.362  40  1 0 5
45.43  1.996  65  1 2 3
49.44  1.843  31  0 2 8

Crystal structure
```
data_NaTeSe
_chemical_formula_sum 'Na4 Te4 Se4'
_symmetry_space_group_name_H-M 'I m m m'
_symmetry_Int_Tables_number 71
_symmetry_space_group_name_Hall '-I 2 2'
_cell_length_a 3.0202
_cell_length_b 5.8654
_cell_length_c 18.9605
_cell_angle_alpha 90.00
_cell_angle_beta 90.00
_cell_angle_gamma 90.00
loop_
_atom_site_label
_atom_site_type_symbol
_atom_site_fract_x
_atom_site_fract_y
_atom_site_fract_z
Na1 Na 0.0000 0.0000 0.1760
Te1 Te 0.0000 0.2562 0.5000
Se1 Se 0.0000 0.0000 0.3293
```


(7)
Theoretical X-ray diffraction stick pattern
Compound: Na2TeSe5
Radiation: λ = 1.5418 Å (Cu Kα)
Structure: a PBE-relaxed structure
Peak positions follow from Bragg's law for the DFT cell and can differ from measured ones.

Most intense lines, 5 to 70 degrees two-theta, low angle first:
two_theta  d (Å)  I (rel.)  hkl
16.20  5.471  46  1 1 0
22.30  3.987  27  2 0 0
24.89  3.577  44  2 0 -2
25.11  3.547  63  0 0 2
25.31  3.519  32  1 1 -2
32.74  2.735  100  2 2 0
34.16  2.625  35  2 0 -3
34.61  2.592  29  2 2 -2
47.92  1.898  34  2 2 2
48.43  1.879  23  0 4 0

Crystal structure
```
data_Na2TeSe5
_chemical_formula_sum 'Na4 Te2 Se10'
_symmetry_space_group_name_H-M 'C 1 m 1'
_symmetry_Int_Tables_number 8
_cell_length_a 8.9511
_cell_length_b 7.5196
_cell_length_c 7.9629
_cell_angle_alpha 90.00
_cell_angle_beta 117.01
_cell_angle_gamma 90.00
loop_
_symmetry_equiv_pos_as_xyz
'x,y,z'
'x,-y,z'
'x+1/2,y+1/2,z'
'x+1/2,-y+1/2,z'
loop_
_atom_site_label
_atom_site_type_symbol
_atom_site_fract_x
_atom_site_fract_y
_atom_site_fract_z
Na1 Na 0.0000 0.0000 0.0000
Na2 Na 0.0237 0.0000 0.4961
Te1 Te 0.0099 0.5000 0.7956
Se1 Se 0.0457 0.5000 0.2221
Se2 Se 0.1983 0.2383 0.8628
Se3 Se 0.2165 0.2511 0.3276
```


(8)
Theoretical X-ray diffraction stick pattern
Compound: Na2TeSe2
Radiation: λ = 1.5418 Å (Cu Kα)
Structure: a PBE-relaxed structure
Peak positions follow from Bragg's law for the DFT cell and can differ from measured ones.

Most intense lines, 5 to 70 degrees two-theta, low angle first:
two_theta  d (Å)  I (rel.)  hkl
15.79  5.613  44  0 2 1
20.41  4.350  36  1 1 0
23.62  3.767  100  1 1 1
31.88  2.807  35  0 4 2
34.08  2.631  23  0 6 1
34.93  2.568  54  1 3 2
35.34  2.540  53  1 5 1
37.39  2.405  25  0 2 3
40.05  2.251  33  2 0 0
44.36  2.042  22  1 3 3

Crystal structure
```
data_Na2TeSe2
_chemical_formula_sum 'Na8 Te4 Se8'
_symmetry_space_group_name_H-M 'C m c 21'
_symmetry_Int_Tables_number 36
_cell_length_a 4.5031
_cell_length_b 16.8450
_cell_length_c 7.5294
_cell_angle_alpha 90.00
_cell_angle_beta 90.00
_cell_angle_gamma 90.00
loop_
_symmetry_equiv_pos_as_xyz
'x,y,z'
'-x,-y,z+1/2'
'-x,y,z'
'x,-y,z+1/2'
'x+1/2,y+1/2,z'
'-x+1/2,-y+1/2,z+1/2'
'-x+1/2,y+1/2,z'
'x+1/2,-y+1/2,z+1/2'
loop_
_atom_site_label
_atom_site_type_symbol
_atom_site_fract_x
_atom_site_fract_y
_atom_site_fract_z
Na1 Na 0.0000 0.0465 0.0000
Na2 Na 0.0000 0.1771 0.6743
Te1 Te 0.0000 0.3621 0.8668
Se1 Se 0.0000 0.2286 0.0493
Se2 Se 0.0000 0.4540 0.1557
```